[1]
For CoRh2Se, a crystal structure in Alexandria, relaxed with GGA-PBE gives the theoretical XRD peak list in this record (Cu Kα, 1.54184 Å).
Neutral-atom scattering factors, no anomalous dispersion.

Structural model:
a = 2.9121 Å, b = 2.9121 Å, c = 6.6820 Å
α = 90.00°, β = 90.00°, γ = 90.00°
Space group P4mm (No. 99)
Asymmetric unit:
Co1 0.0000 0.0000 0.0000 [1 per cell]
Rh1 0.0000 0.0000 0.5218 [1 per cell]
Rh2 0.5000 0.5000 0.2373 [1 per cell]
Se1 0.5000 0.5000 0.7643 [1 per cell]

Most intense lines, 2θ from 10° to 90°, most intense first:
- 41.12°, d = 2.195 Å, I 100.0, hkl 1 0 2
- 43.97°, d = 2.059 Å, I 42.4, hkl 1 1 0
- 78.88°, d = 1.213 Å, I 30.3, hkl 2 1 2
- 72.92°, d = 1.297 Å, I 15.8, hkl 1 1 4
- 63.94°, d = 1.456 Å, I 13.4, hkl 2 0 0
- 89.23°, d = 1.098 Å, I 9.6, hkl 2 0 4
- 54.97°, d = 1.670 Å, I 9.5, hkl 0 0 4
- 33.57°, d = 2.670 Å, I 7.3, hkl 1 0 1
- 61.31°, d = 1.512 Å, I 2.9, hkl 1 1 3
- 13.25°, d = 6.682 Å, I 2.9, hkl 0 0 1
- 40.50°, d = 2.227 Å, I 2.4, hkl 0 0 3
- 74.18°, d = 1.278 Å, I 1.5, hkl 2 1 1

[2]
For Co2RhSe, a crystal structure in Alexandria, relaxed with GGA-PBE gives the theoretical XRD peak list in this record (Cu Kα, 1.54184 Å).
Neutral-atom scattering factors, no anomalous dispersion.

Structural model:
a = 3.0000 Å, b = 4.1676 Å, c = 8.5190 Å
α = 90.00°, β = 90.00°, γ = 90.00°
Space group Imm2 (No. 44)
Asymmetric unit:
Co1 0.0000 0.0000 0.0000 [2 per cell]
Co2 0.0000 0.5000 0.2299 [2 per cell]
Rh1 0.0000 0.5000 0.7760 [2 per cell]
Se1 0.0000 0.0000 0.5107 [2 per cell]

Most intense lines, 2θ from 10° to 90°, most intense first:
- 42.78°, d = 2.114 Å, I 100.0, hkl 1 1 2
- 43.43°, d = 2.084 Å, I 25.0, hkl 0 2 0
- 42.44°, d = 2.130 Å, I 22.3, hkl 0 0 4
- 77.89°, d = 1.226 Å, I 18.0, hkl 2 0 4
- 79.25°, d = 1.209 Å, I 15.2, hkl 1 3 2
- 62.34°, d = 1.489 Å, I 13.6, hkl 0 2 4
- 23.77°, d = 3.744 Å, I 8.4, hkl 0 1 1
- 61.85°, d = 1.500 Å, I 8.3, hkl 2 0 0
- 78.58°, d = 1.217 Å, I 8.1, hkl 2 2 0
- 38.36°, d = 2.347 Å, I 4.4, hkl 0 1 3
- 43.90°, d = 2.062 Å, I 4.2, hkl 1 0 3
- 58.53°, d = 1.577 Å, I 3.5, hkl 0 1 5